(1)
Structure and theoretical powder diffractogram of Pr3CdCu (a structure optimized by DFT (GGA-PBE); copper Kα).
Kinematic intensities with the Lorentz-polarization factor, no thermal factor.

Largest 12 diffraction maxima, low angle first, 2θ = 10–80°:
- (1 1 1), 24.01°, intensity 7
- (1 5 1), 32.45°, intensity 100
- (2 0 0), 33.62°, intensity 52
- (1 7 1), 39.26°, intensity 6
- (2 6 0), 43.25°, intensity 5
- (0 10 0), 44.76°, intensity 7
- (2 0 2), 48.28°, intensity 18
- (2 10 0), 57.13°, intensity 13
- (3 5 1), 59.38°, intensity 35
- (2 10 2), 67.94°, intensity 8
- (4 0 0), 70.67°, intensity 6
- (3 5 3), 79.93°, intensity 7

Crystal structure
```
data_Pr3CdCu
_space_group_name_H-M_alt 'C m c m'
_space_group_IT_number 63
_space_group_name_Hall '-C 2c 2'
_cell_length_a 5.332
_cell_length_b 20.247
_cell_length_c 5.331
_cell_angle_alpha 90.00
_cell_angle_beta 90.00
_cell_angle_gamma 90.00
loop_
_atom_site_label
_atom_site_type_symbol
_atom_site_fract_x
_atom_site_fract_y
_atom_site_fract_z
Pr1 Pr 0.000 0.064 0.250
Pr2 Pr 0.000 0.249 0.250
Pr3 Pr 0.000 0.434 0.250
Cd1 Cd 0.000 0.156 0.750
Cu1 Cu 0.000 0.340 0.750
```

***

(2)
Structure and theoretical powder diffractogram of YZnNi4Ge2 (a structure optimized by DFT (GGA-PBE); copper Kα).
Kinematic intensities with the Lorentz-polarization factor, no thermal factor.

Largest 12 diffraction maxima, low angle first, 2θ = 10–80°:
- (0 0 3), 10.72°, intensity 17
- (1 0 4), 29.33°, intensity 8
- (0 1 5), 31.32°, intensity 9
- (1 0 7), 36.13°, intensity 16
- (0 1 8), 38.87°, intensity 86
- (0 0 12), 43.90°, intensity 8
- (1 1 0), 44.89°, intensity 100
- (0 1 11), 48.09°, intensity 19
- (2 0 8), 60.85°, intensity 22
- (1 1 12), 64.60°, intensity 15
- (2 0 11), 67.88°, intensity 6
- (1 2 8), 78.72°, intensity 20

Crystal structure
```
data_YZnNi4Ge2
_space_group_name_H-M_alt 'R -3 m'
_space_group_IT_number 166
_space_group_name_Hall '-R 3 2"'
_cell_length_a 4.0384
_cell_length_b 4.0384
_cell_length_c 24.7485
_cell_angle_alpha 90.00
_cell_angle_beta 90.00
_cell_angle_gamma 120.00
loop_
_atom_site_label
_atom_site_type_symbol
_atom_site_fract_x
_atom_site_fract_y
_atom_site_fract_z
Y1 Y 0.0000 0.0000 0.0000
Zn1 Zn 0.0000 0.0000 0.5000
Ni1 Ni 0.0000 0.0000 0.1323
Ni2 Ni 0.0000 0.0000 0.4053
Ge1 Ge 0.0000 0.0000 0.2448
```